(1)
LiVFeO4: theoretical X-ray diffraction stick pattern (Cu Kα (weighted mean of Kα1 and Kα2)), based on a cell relaxed with PBE+U.
Peak positions follow from Bragg's law for the DFT cell and can differ from measured ones.

Atomic structure:
a = 5.9987 Å, b = 5.9987 Å, c = 5.9987 Å
α = 120.85°, β = 120.03°, γ = 89.24°
Fractional positions:
Li 0.3691 0.1191 0.2500
Li 0.6309 0.8809 0.7500
V 0.0000 0.0000 0.5000
V 0.0000 0.5000 0.0000
Fe 0.0000 0.5000 0.5000
Fe 0.5000 0.5000 0.0000
O 0.2118 0.7441 0.4677
O 0.2236 0.2559 0.9677
O 0.2314 0.2529 0.5214
O 0.2314 0.7100 0.9786
O 0.7686 0.2900 0.0214
O 0.7686 0.7471 0.4786
O 0.7764 0.7441 0.0323
O 0.7882 0.2559 0.5323

Principal peaks in the range 2θ = 10–80°, sorted by position:
Position (°2θ)	I/Imax
18.1	94.2
18.2	100.0
34.9	31.8
35.2	34.7
35.4	24.6
42.3	37.8
42.9	72.2
56.0	12.4
56.9	12.4
61.9	54.9



(2)
Sr2NdMn3O9: theoretical X-ray diffraction stick pattern (Cu Kα (weighted mean of Kα1 and Kα2)), based on a cell relaxed with PBE+U.
Peak positions follow from Bragg's law for the DFT cell and can differ from measured ones.

Atomic structure:
a = 5.5416 Å, b = 5.5416 Å, c = 13.4610 Å
α = 91.53°, β = 91.53°, γ = 58.82°
Fractional positions:
Sr 0.1654 0.1689 0.4169
Sr 0.1689 0.1654 0.9169
Sr 0.8311 0.8346 0.0831
Sr 0.8346 0.8311 0.5831
Nd 0.4950 0.5050 0.2500
Nd 0.5050 0.4950 0.7500
Mn 0.1670 0.1674 0.1666
Mn 0.1674 0.1670 0.6666
Mn 0.5000 0.5000 0.0000
Mn 0.5000 0.5000 0.5000
Mn 0.8326 0.8330 0.3334
Mn 0.8330 0.8326 0.8334
O 0.0091 0.9909 0.7500
O 0.0688 0.4769 0.2617
O 0.1418 0.7178 0.4283
O 0.2011 0.6096 0.8984
O 0.2822 0.8582 0.0717
O 0.3368 0.3380 0.5887
O 0.3380 0.3368 0.0887
O 0.3904 0.7989 0.6016
O 0.4769 0.0688 0.7617
O 0.5231 0.9312 0.2383
O 0.6096 0.2011 0.3984
O 0.6620 0.6632 0.9113
O 0.6632 0.6620 0.4113
O 0.7178 0.1418 0.9283
O 0.7989 0.3904 0.1016
O 0.8582 0.2822 0.5717
O 0.9312 0.5231 0.7383
O 0.9909 0.0091 0.2500

Principal peaks in the range 2θ = 10–80°, sorted by position:
Position (°2θ)	I/Imax
32.4	100.0
32.9	53.3
40.1	17.8
45.6	19.8
47.2	32.7
57.3	15.9
58.4	30.5
58.5	10.4
67.7	10.0
67.8	10.1



(3)
LiMnBO3: theoretical X-ray diffraction stick pattern (Cu Kα (weighted mean of Kα1 and Kα2)), based on a cell relaxed with PBE+U.
Peak positions follow from Bragg's law for the DFT cell and can differ from measured ones.

Atomic structure:
a = 8.2704 Å, b = 8.2704 Å, c = 3.1947 Å
α = 90.00°, β = 90.00°, γ = 120.00°
Fractional positions:
Li 0.0156 0.7171 0.0000
Li 0.2829 0.2986 0.0000
Li 0.7014 0.9844 0.0000
Mn 0.3716 0.0105 0.5000
Mn 0.6389 0.6284 0.5000
Mn 0.9895 0.3611 0.5000
B 0.0000 0.0000 0.5000
B 0.3333 0.6667 0.0000
B 0.6667 0.3333 0.0000
O 0.0786 0.8850 0.5000
O 0.1150 0.1936 0.5000
O 0.1397 0.5613 0.0000
O 0.4216 0.8603 0.0000
O 0.4387 0.5784 0.0000
O 0.4730 0.2209 0.0000
O 0.7479 0.5270 0.0000
O 0.7791 0.2521 0.0000
O 0.8064 0.9214 0.5000

Principal peaks in the range 2θ = 10–80°, sorted by position:
Position (°2θ)	I/Imax
21.5	100.0
30.6	18.4
33.1	19.1
35.5	83.6
37.7	44.3
43.8	27.6
47.5	28.9
52.7	25.5
54.4	20.2
59.1	14.1



(4)
PaCoO3: theoretical X-ray diffraction stick pattern (Cu Kα (weighted mean of Kα1 and Kα2)), based on a cell relaxed with PBE+U.
Peak positions follow from Bragg's law for the DFT cell and can differ from measured ones.

Atomic structure:
a = 3.7822 Å, b = 3.7822 Å, c = 3.7822 Å
α = 90.00°, β = 90.00°, γ = 90.00°
Fractional positions:
Pa 0.0000 0.0000 0.0000
Co 0.5000 0.5000 0.5000
O 0.0000 0.5000 0.5000
O 0.5000 0.0000 0.5000
O 0.5000 0.5000 0.0000

Principal peaks in the range 2θ = 10–80°, sorted by position:
Position (°2θ)	I/Imax
23.5	33.7
33.5	100.0
41.3	23.1
48.1	27.5
54.2	16.8
59.9	39.1
70.4	16.8
75.4	8.7



(5)
Li2VCrP2H2O10: theoretical X-ray diffraction stick pattern (Cu Kα (weighted mean of Kα1 and Kα2)), based on a cell relaxed with PBE+U.
Peak positions follow from Bragg's law for the DFT cell and can differ from measured ones.

Atomic structure:
a = 5.1745 Å, b = 7.3653 Å, c = 10.6605 Å
α = 104.66°, β = 97.08°, γ = 108.66°
Fractional positions:
Li 0.0459 0.1260 0.3022
Li 0.4531 0.3758 0.1972
Li 0.5469 0.6242 0.8028
Li 0.9541 0.8740 0.6978
V 0.0000 0.0000 0.0000
V 0.5000 0.5000 0.5000
Cr 0.0000 0.5000 0.0000
Cr 0.5000 0.0000 0.5000
P 0.0031 0.4476 0.6811
P 0.4976 0.0521 0.8191
P 0.5024 0.9479 0.1809
P 0.9969 0.5524 0.3189
H 0.1700 0.1867 0.5296
H 0.3291 0.3136 0.9694
H 0.6709 0.6864 0.0306
H 0.8300 0.8133 0.4704
O 0.1260 0.7795 0.3981
O 0.1337 0.4871 0.8290
O 0.1849 0.3023 0.0234
O 0.2156 0.4482 0.3296
O 0.2444 0.9468 0.8728
O 0.2557 0.5528 0.6271
O 0.2839 0.0522 0.1699
O 0.3147 0.1977 0.4760
O 0.3680 0.0124 0.6710
O 0.3734 0.7206 0.1017
O 0.6266 0.2794 0.8983
O 0.6320 0.9876 0.3290
O 0.6853 0.8023 0.5240
O 0.7161 0.9478 0.8301
O 0.7443 0.4472 0.3729
O 0.7556 0.0532 0.1272
O 0.7844 0.5518 0.6704
O 0.8151 0.6977 0.9766
O 0.8663 0.5129 0.1710
O 0.8740 0.2205 0.6019

Principal peaks in the range 2θ = 10–80°, sorted by position:
Position (°2θ)	I/Imax
17.6	33.9
18.5	41.7
18.7	46.0
25.7	30.4
25.8	32.6
26.6	73.0
26.7	29.5
26.9	100.0
28.9	86.4
36.0	36.4



(6)
MgTi3Fe2CoP6O24: theoretical X-ray diffraction stick pattern (Cu Kα (weighted mean of Kα1 and Kα2)), based on a cell relaxed with PBE+U.
Peak positions follow from Bragg's law for the DFT cell and can differ from measured ones.

Atomic structure:
a = 8.4795 Å, b = 8.6451 Å, c = 8.6464 Å
α = 61.11°, β = 61.52°, γ = 61.64°
Fractional positions:
Mg 0.0000 0.0000 0.0000
Ti 0.1113 0.7141 0.4949
Ti 0.4025 0.0118 0.7779
Ti 0.5995 0.2237 0.9874
Fe 0.2651 0.8614 0.6211
Fe 0.7403 0.3779 0.1398
Co 0.8864 0.5034 0.2859
P 0.0002 0.3192 0.6761
P 0.1910 0.1115 0.1801
P 0.2916 0.6073 0.0965
P 0.4997 0.4082 0.5918
P 0.7079 0.9002 0.3899
P 0.8087 0.8183 0.8878
O 0.0012 0.2680 0.1973
O 0.0668 0.4738 0.6388
O 0.1379 0.5463 0.1264
O 0.1531 0.1150 0.7138
O 0.1919 0.9488 0.3690
O 0.2121 0.0432 0.0301
O 0.2528 0.6684 0.2559
O 0.2950 0.7843 0.9099
O 0.3428 0.6020 0.5804
O 0.3651 0.1673 0.1189
O 0.4149 0.2559 0.6531
O 0.4924 0.4546 0.0705
O 0.5091 0.9429 0.5422
O 0.5737 0.3632 0.7462
O 0.6368 0.8929 0.8225
O 0.6491 0.4135 0.4006
O 0.7243 0.0849 0.2136
O 0.7297 0.7495 0.3345
O 0.7965 0.9694 0.9482
O 0.8014 0.6322 0.0434
O 0.8506 0.2898 0.8818
O 0.8669 0.8541 0.4598
O 0.9367 0.3463 0.5288
O 0.9988 0.7991 0.7239

Principal peaks in the range 2θ = 10–80°, sorted by position:
Position (°2θ)	I/Imax
20.2	100.0
23.8	52.1
24.0	25.6
24.0	21.6
24.3	45.2
31.4	22.4
32.6	45.1
32.9	34.7
33.3	35.1
35.4	41.4



(7)
Mg2FeIrO6: theoretical X-ray diffraction stick pattern (Cu Kα (weighted mean of Kα1 and Kα2)), based on a cell relaxed with PBE+U.
Peak positions follow from Bragg's law for the DFT cell and can differ from measured ones.

Atomic structure:
a = 5.1401 Å, b = 5.3212 Å, c = 9.1376 Å
α = 90.00°, β = 123.92°, γ = 90.00°
Fractional positions:
Mg 0.2369 0.0598 0.2478
Mg 0.2369 0.4402 0.7478
Mg 0.7631 0.5598 0.2522
Mg 0.7631 0.9402 0.7522
Fe 0.0000 0.0000 0.5000
Fe 0.0000 0.5000 0.0000
Ir 0.5000 0.0000 0.0000
Ir 0.5000 0.5000 0.5000
O 0.1124 0.1849 0.9301
O 0.1124 0.3151 0.4301
O 0.2504 0.6885 0.9273
O 0.2504 0.8115 0.4273
O 0.3887 0.0696 0.7544
O 0.3887 0.4304 0.2544
O 0.6113 0.5696 0.7456
O 0.6113 0.9304 0.2456
O 0.7496 0.1885 0.5727
O 0.7496 0.3115 0.0727
O 0.8876 0.6849 0.5699
O 0.8876 0.8151 0.0699

Principal peaks in the range 2θ = 10–80°, sorted by position:
Position (°2θ)	I/Imax
20.4	56.7
20.9	28.1
23.5	50.9
24.1	100.0
33.7	32.8
33.8	69.8
33.9	68.2
34.9	28.2
49.3	31.4
60.4	27.6



(8)
V3Pb5O12F: theoretical X-ray diffraction stick pattern (Cu Kα (weighted mean of Kα1 and Kα2)), based on a cell relaxed with PBE+U.
Peak positions follow from Bragg's law for the DFT cell and can differ from measured ones.

Atomic structure:
a = 10.2999 Å, b = 10.2999 Å, c = 7.5465 Å
α = 90.00°, β = 90.00°, γ = 120.00°
Fractional positions:
V 0.0283 0.6291 0.2500
V 0.3709 0.3992 0.2500
V 0.3992 0.0283 0.7500
V 0.6008 0.9717 0.2500
V 0.6291 0.6008 0.7500
V 0.9717 0.3709 0.7500
Pb 0.0040 0.2466 0.2500
Pb 0.2426 0.9960 0.2500
Pb 0.2466 0.2426 0.7500
Pb 0.3333 0.6667 0.5072
Pb 0.3333 0.6667 0.9928
Pb 0.6667 0.3333 0.0072
Pb 0.6667 0.3333 0.4928
Pb 0.7534 0.7574 0.2500
Pb 0.7574 0.0040 0.7500
Pb 0.9960 0.7534 0.7500
O 0.0888 0.7477 0.0675
O 0.0888 0.7477 0.4325
O 0.1230 0.5266 0.2500
O 0.1669 0.4907 0.7500
O 0.2523 0.3410 0.0675
O 0.2523 0.3410 0.4325
O 0.3238 0.8331 0.7500
O 0.3410 0.0888 0.5675
O 0.3410 0.0888 0.9325
O 0.4036 0.8770 0.2500
O 0.4734 0.5964 0.2500
O 0.4907 0.3238 0.2500
O 0.5093 0.6762 0.7500
O 0.5266 0.4036 0.7500
O 0.5964 0.1230 0.7500
O 0.6590 0.9112 0.0675
O 0.6590 0.9112 0.4325
O 0.6762 0.1669 0.2500
O 0.7477 0.6590 0.5675
O 0.7477 0.6590 0.9325
O 0.8331 0.5093 0.2500
O 0.8770 0.4734 0.7500
O 0.9112 0.2523 0.5675
O 0.9112 0.2523 0.9325
F 0.0000 0.0000 0.2500
F 0.0000 0.0000 0.7500

Principal peaks in the range 2θ = 10–80°, sorted by position:
Position (°2θ)	I/Imax
19.9	30.5
20.9	27.7
25.6	41.1
26.4	40.8
29.0	100.0
29.3	78.4
30.1	46.8
42.5	36.3
45.0	33.7
47.4	35.6